(1)
Structure and simulated PXRD pattern of CsSrInI4 (a cell relaxed with PBE; Cu Ka).
Peak positions follow from Bragg's law for the DFT cell and can differ from measured ones.

Cell and atoms:
```
data_CsSrInI4
_chemical_formula_sum 'Cs2 Sr2 In2 I8'
_cell_length_a 6.4377
_cell_length_b 6.4377
_cell_length_c 18.6250
_cell_angle_alpha 90.00
_cell_angle_beta 90.00
_cell_angle_gamma 90.00
_symmetry_space_group_name_H-M 'I 4 m m'
_symmetry_Int_Tables_number 107
_symmetry_space_group_name_Hall 'I 4 -2'
loop_
_atom_site_label
_atom_site_type_symbol
_atom_site_fract_x
_atom_site_fract_y
_atom_site_fract_z
Cs1 Cs 0.0000 0.0000 0.0000
Sr1 Sr 0.0000 0.0000 0.3679
In1 In 0.0000 0.0000 0.7182
I1 I 0.0000 0.0000 0.1973
I2 I 0.0000 0.0000 0.5492
I3 I 0.0000 0.5000 0.3707
```

The 8 most intense peaks (2θ from 10° to 90°), by angle:
| 2θ (°) | d (Å) | I/Imax | h k l |
| --- | --- | --- | --- |
| 19.50 | 4.552 | 28 | 1 1 0 |
| 21.73 | 4.090 | 51 | 1 1 2 |
| 27.40 | 3.255 | 46 | 1 1 4 |
| 27.70 | 3.220 | 100 | 2 0 0 |
| 28.76 | 3.104 | 24 | 0 0 6 |
| 39.58 | 2.277 | 47 | 2 2 0 |
| 40.37 | 2.234 | 38 | 2 0 6 |
| 49.67 | 1.836 | 20 | 2 2 6 |

(2)
Structure and simulated PXRD pattern of SmSc5Ga6 (a cell relaxed with PBE; Cu Ka).
Peak positions follow from Bragg's law for the DFT cell and can differ from measured ones.

Cell and atoms:
```
data_SmSc5Ga6
_chemical_formula_sum 'Sm2 Sc10 Ga12'
_cell_length_a 15.2756
_cell_length_b 6.7559
_cell_length_c 4.8420
_cell_angle_alpha 90.00
_cell_angle_beta 108.05
_cell_angle_gamma 90.00
_symmetry_space_group_name_H-M 'C 1 2/m 1'
_symmetry_Int_Tables_number 12
loop_
_symmetry_equiv_pos_as_xyz
'x,y,z'
'-x,-y,-z'
'-x,y,-z'
'x,-y,z'
'x+1/2,y+1/2,z'
'-x+1/2,-y+1/2,-z'
'-x+1/2,y+1/2,-z'
'x+1/2,-y+1/2,z'
loop_
_atom_site_label
_atom_site_type_symbol
_atom_site_fract_x
_atom_site_fract_y
_atom_site_fract_z
Sm1 Sm 0.0000 0.0000 0.0000
Sc1 Sc 0.0000 0.5000 0.0000
Sc2 Sc 0.1614 0.0000 0.6612
Sc3 Sc 0.1696 0.5000 0.6699
Ga1 Ga 0.0000 0.2728 0.5000
Ga2 Ga 0.1722 0.2612 0.1722
```

The 8 most intense peaks (2θ from 10° to 90°), by angle:
| 2θ (°) | d (Å) | I/Imax | h k l |
| --- | --- | --- | --- |
| 37.14 | 2.421 | 100 | 2 0 -2 |
| 37.33 | 2.409 | 97 | 2 2 1 |
| 37.47 | 2.400 | 96 | 4 2 -1 |
| 53.32 | 1.718 | 17 | 4 0 2 |
| 53.75 | 1.705 | 16 | 8 0 -2 |
| 66.98 | 1.397 | 32 | 0 2 3 |
| 67.27 | 1.392 | 31 | 6 2 -3 |
| 67.64 | 1.385 | 29 | 2 4 -2 |

(3)
Structure and simulated PXRD pattern of Pr5Y12Ho (a cell relaxed with PBE; Cu Ka).
Peak positions follow from Bragg's law for the DFT cell and can differ from measured ones.

Cell and atoms:
```
data_Pr5Y12Ho
_chemical_formula_sum 'Pr10 Y24 Ho2'
_cell_length_a 15.2974
_cell_length_b 15.3253
_cell_length_c 5.1084
_cell_angle_alpha 90.00
_cell_angle_beta 90.00
_cell_angle_gamma 90.00
_symmetry_space_group_name_H-M 'C m m m'
_symmetry_Int_Tables_number 65
_symmetry_space_group_name_Hall '-C 2 2'
loop_
_atom_site_label
_atom_site_type_symbol
_atom_site_fract_x
_atom_site_fract_y
_atom_site_fract_z
Pr1 Pr 0.0000 0.0000 0.0000
Pr2 Pr 0.0000 0.1672 0.5000
Pr3 Pr 0.0000 0.3352 0.0000
Y1 Y 0.1671 0.3344 0.5000
Y2 Y 0.1668 0.5000 0.0000
Y3 Y 0.1681 0.0000 0.5000
Y4 Y 0.1683 0.1672 0.0000
Ho1 Ho 0.0000 0.5000 0.5000
```

The 8 most intense peaks (2θ from 10° to 90°), by angle:
| 2θ (°) | d (Å) | I/Imax | h k l |
| --- | --- | --- | --- |
| 11.57 | 7.649 | 6 | 2 0 0 |
| 30.32 | 2.948 | 100 | 3 3 1 |
| 35.16 | 2.553 | 50 | 6 0 0 |
| 50.57 | 1.805 | 35 | 6 6 0 |
| 60.11 | 1.539 | 41 | 9 3 1 |
| 63.08 | 1.474 | 12 | 6 6 2 |
| 82.33 | 1.171 | 17 | 9 3 3 |
| 84.91 | 1.142 | 10 | 6 0 4 |

(4)
Structure and simulated PXRD pattern of Nd4TlInN (a cell relaxed with PBE; Cu Ka).
Peak positions follow from Bragg's law for the DFT cell and can differ from measured ones.

Cell and atoms:
```
data_Nd4TlInN
_chemical_formula_sum 'Nd16 Tl4 In4 N4'
_cell_length_a 7.0299
_cell_length_b 16.2678
_cell_length_c 7.0350
_cell_angle_alpha 90.00
_cell_angle_beta 90.00
_cell_angle_gamma 90.00
_symmetry_space_group_name_H-M 'C m c m'
_symmetry_Int_Tables_number 63
_symmetry_space_group_name_Hall '-C 2c 2'
loop_
_atom_site_label
_atom_site_type_symbol
_atom_site_fract_x
_atom_site_fract_y
_atom_site_fract_z
Nd1 Nd 0.0000 0.0865 0.2500
Nd2 Nd 0.0000 0.4129 0.2500
Nd3 Nd 0.2500 0.2500 0.0000
Tl1 Tl 0.0000 0.1125 0.7500
In1 In 0.0000 0.3867 0.7500
N1 N 0.0000 0.2499 0.2500
```

The 8 most intense peaks (2θ from 10° to 90°), by angle:
| 2θ (°) | d (Å) | I/Imax | h k l |
| --- | --- | --- | --- |
| 27.64 | 3.228 | 63 | 2 2 0 |
| 33.04 | 2.711 | 25 | 0 6 0 |
| 33.70 | 2.660 | 100 | 2 4 0 |
| 36.13 | 2.486 | 62 | 2 0 2 |
| 49.76 | 1.832 | 32 | 2 6 2 |
| 52.01 | 1.758 | 23 | 4 0 0 |
| 62.97 | 1.476 | 24 | 0 6 4 |
| 63.42 | 1.467 | 32 | 4 4 2 |

(5)
Structure and simulated PXRD pattern of Sm2ReTc10 (a cell relaxed with PBE; Cu Ka).
Peak positions follow from Bragg's law for the DFT cell and can differ from measured ones.

Cell and atoms:
```
data_Sm2ReTc10
_chemical_formula_sum 'Sm4 Re2 Tc20'
_cell_length_a 6.1182
_cell_length_b 15.6918
_cell_length_c 5.5334
_cell_angle_alpha 90.00
_cell_angle_beta 90.00
_cell_angle_gamma 90.00
_symmetry_space_group_name_H-M 'P b a m'
_symmetry_Int_Tables_number 55
loop_
_symmetry_equiv_pos_as_xyz
'x,y,z'
'-x,-y,-z'
'-x,-y,z'
'x,y,-z'
'x+1/2,-y+1/2,-z'
'-x+1/2,y+1/2,z'
'-x+1/2,y+1/2,-z'
'x+1/2,-y+1/2,z'
loop_
_atom_site_label
_atom_site_type_symbol
_atom_site_fract_x
_atom_site_fract_y
_atom_site_fract_z
Sm1 Sm 0.2269 0.1442 0.0000
Re1 Re 0.0000 0.0000 0.5000
Tc1 Tc 0.0047 0.1619 0.5000
Tc2 Tc 0.0983 0.3071 0.5000
Tc3 Tc 0.1351 0.5668 0.5000
Tc4 Tc 0.2201 0.4242 0.2077
```

The 8 most intense peaks (2θ from 10° to 90°), by angle:
| 2θ (°) | d (Å) | I/Imax | h k l |
| --- | --- | --- | --- |
| 11.28 | 7.846 | 57 | 0 2 0 |
| 16.02 | 5.533 | 71 | 0 0 1 |
| 31.55 | 2.836 | 88 | 1 4 1 |
| 32.36 | 2.767 | 46 | 0 0 2 |
| 33.47 | 2.677 | 100 | 2 0 1 |
| 37.46 | 2.401 | 95 | 1 2 2 |
| 47.87 | 1.900 | 69 | 0 6 2 |
| 48.70 | 1.870 | 43 | 2 6 1 |

(6)
Structure and simulated PXRD pattern of Pm2BePd6Pb (a cell relaxed with PBE; Cu Ka).
Peak positions follow from Bragg's law for the DFT cell and can differ from measured ones.

Cell and atoms:
```
data_Pm2BePd6Pb
_chemical_formula_sum 'Pm2 Be1 Pd6 Pb1'
_cell_length_a 5.9277
_cell_length_b 5.9341
_cell_length_c 7.6962
_cell_angle_alpha 67.64
_cell_angle_beta 67.42
_cell_angle_gamma 60.04
_symmetry_space_group_name_H-M 'P -1'
_symmetry_Int_Tables_number 2
loop_
_symmetry_equiv_pos_as_xyz
'x,y,z'
'-x,-y,-z'
loop_
_atom_site_label
_atom_site_type_symbol
_atom_site_fract_x
_atom_site_fract_y
_atom_site_fract_z
Pm1 Pm 0.2413 0.2380 0.2786
Be1 Be 0.5000 0.5000 0.5000
Pd1 Pd 0.2119 0.7300 0.3232
Pd2 Pd 0.2658 0.2698 0.6776
Pd3 Pd 0.2671 0.7934 0.6734
Pb1 Pb 0.0000 0.0000 0.0000
```

The 8 most intense peaks (2θ from 10° to 90°), by angle:
| 2θ (°) | d (Å) | I/Imax | h k l |
| --- | --- | --- | --- |
| 17.79 | 4.987 | 46 | 0 1 0 |
| 24.44 | 3.642 | 27 | 1 1 2 |
| 25.80 | 3.453 | 28 | 0 0 2 |
| 36.06 | 2.491 | 55 | 2 2 2 |
| 39.11 | 2.303 | 100 | 2 0 2 |
| 39.17 | 2.300 | 92 | 0 2 2 |
| 41.42 | 2.180 | 40 | 2 0 -1 |
| 62.64 | 1.483 | 43 | 4 2 2 |